Calculated powder diffraction line list
Compound: Ag7AsSe6
Radiation: Cu Kα (λ = 1.5418 Å)
Structure: a GGA-PBE-relaxed structure
Peak positions follow from Bragg's law for the DFT cell and can differ from measured ones.

Structure:
```
data_Ag7AsSe6
_chemical_formula_sum 'Ag28 As4 Se24'
_cell_length_a 11.0090
_cell_length_b 11.0090
_cell_length_c 11.0090
_cell_angle_alpha 90.00
_cell_angle_beta 90.00
_cell_angle_gamma 90.00
_symmetry_space_group_name_H-M 'P 21 3'
_symmetry_Int_Tables_number 198
_symmetry_space_group_name_Hall 'P 2ac 2ab 3'
loop_
_atom_site_label
_atom_site_type_symbol
_atom_site_fract_x
_atom_site_fract_y
_atom_site_fract_z
Ag1 Ag 0.0081 0.4807 0.7805
Ag2 Ag 0.0720 0.6058 0.2302
Ag3 Ag 0.1549 0.8451 0.3451
As1 As 0.2456 0.7456 0.7544
Se1 Se 0.0204 0.9796 0.4796
Se2 Se 0.1129 0.6335 0.6276
Se3 Se 0.1285 0.1285 0.1285
Se4 Se 0.2125 0.2875 0.7125
```

Peak list (8 most intense, 2θ = 10–80°, by angle)
h k l	two_theta	I/Imax
2 2 1	24.25	21.0
2 2 2	28.08	100.0
3 0 2	29.25	22.1
3 1 2	30.38	38.8
4 1 1	34.57	33.4
5 0 1	41.84	26.8
3 3 3	42.68	36.7
4 4 0	46.67	44.4